Entry 1:
Calculated XRD peak list of NaMn2O4 for Cu Ka, from a crystal structure in the Materials Project, relaxed with PBE+U.

Peak list (6 most intense, 2θ = 10–90°, in order of rising 2θ)
index, 2theta, I/Imax
0 0 2, 15.5, 100
0 0 4, 31.3, 11
2 1 -2, 34.5, 14
2 1 -4, 38.0, 25
2 1 -6, 47.2, 25
0 2 4, 48.1, 14

Atomic structure:
Lattice parameters (Å, degrees): 6.0725 5.0495 12.9415 90.00 117.96 90.00
Positions (direct):
Na1 0.0000 0.0090 0.2500
Na2 0.0000 0.9910 0.7500
Na3 0.5000 0.3600 0.7500
Na4 0.5000 0.6400 0.2500
Mn1 0.0000 0.5000 0.0000
Mn2 0.0000 0.5000 0.5000
Mn3 0.2619 0.0018 0.0063
Mn4 0.2619 0.9982 0.5063
Mn5 0.5000 0.5000 0.0000
Mn6 0.5000 0.5000 0.5000
Mn7 0.7381 0.0018 0.4937
Mn8 0.7381 0.9982 0.9937
O1 0.0849 0.1738 0.5898
O2 0.0849 0.8262 0.0898
O3 0.1818 0.3143 0.4140
O4 0.1818 0.6857 0.9140
O5 0.3523 0.3354 0.0890
O6 0.3523 0.6646 0.5890
O7 0.3986 0.1783 0.9062
O8 0.3986 0.8217 0.4062
O9 0.6014 0.1783 0.5938
O10 0.6014 0.8217 0.0938
O11 0.6477 0.3354 0.4110
O12 0.6477 0.6646 0.9110
O13 0.8182 0.3143 0.0860
O14 0.8182 0.6857 0.5860
O15 0.9151 0.1738 0.9102
O16 0.9151 0.8262 0.4102

Entry 2:
Calculated XRD peak list of NaMn2O4 for Cu Ka, from a crystal structure in the Materials Project, relaxed with PBE+U.

Peak list (6 most intense, 2θ = 10–90°, in order of rising 2θ)
index, 2theta, I/Imax
1 0 2, 18.5, 58
2 0 0, 19.7, 58
0 0 4, 31.6, 74
3 0 2, 33.8, 100
1 1 2, 36.0, 79
2 1 4, 49.2, 51

Atomic structure:
Lattice parameters (Å, degrees): 8.9984 2.9199 11.3089 90.00 90.00 90.00
Positions (direct):
Na1 0.2467 0.2500 0.1613
Na2 0.2533 0.7500 0.6613
Na3 0.7467 0.2500 0.3387
Na4 0.7533 0.7500 0.8387
Mn1 0.0689 0.2500 0.3882
Mn2 0.0825 0.2500 0.9039
Mn3 0.4175 0.7500 0.4039
Mn4 0.4311 0.7500 0.8882
Mn5 0.5689 0.2500 0.1118
Mn6 0.5825 0.2500 0.5961
Mn7 0.9175 0.7500 0.0961
Mn8 0.9311 0.7500 0.6118
O1 0.0280 0.7500 0.8021
O2 0.0699 0.2500 0.5845
O3 0.1162 0.7500 0.0194
O4 0.2105 0.7500 0.3476
O5 0.2895 0.2500 0.8476
O6 0.3838 0.2500 0.5194
O7 0.4301 0.7500 0.0845
O8 0.4720 0.2500 0.3021
O9 0.5280 0.7500 0.6979
O10 0.5699 0.2500 0.9155
O11 0.6162 0.7500 0.4806
O12 0.7105 0.7500 0.1524
O13 0.7895 0.2500 0.6524
O14 0.8838 0.2500 0.9806
O15 0.9301 0.7500 0.4155
O16 0.9720 0.2500 0.1979

Entry 3:
Calculated XRD peak list of NaMn2O4 for Cu Ka, from a crystal structure in the Materials Project, relaxed with PBE+U.

Peak list (6 most intense, 2θ = 10–90°, in order of rising 2θ)
index, 2theta, I/Imax
1 1 0, 12.1, 76
2 0 0, 17.1, 86
3 1 0, 27.2, 85
1 2 2, 36.0, 100
4 1 2, 47.5, 67
5 2 2, 57.1, 53

Atomic structure:
Lattice parameters (Å, degrees): 10.3771 10.3771 5.9086 90.00 90.00 90.00
Positions (direct):
Na1 0.1197 0.7772 0.1188
Na2 0.2228 0.6197 0.6188
Na3 0.2772 0.8803 0.6188
Na4 0.3803 0.7228 0.1188
Na5 0.6197 0.2772 0.8812
Na6 0.7228 0.1197 0.3812
Na7 0.7772 0.3803 0.3812
Na8 0.8803 0.2228 0.8812
Mn1 0.0826 0.3954 0.3737
Mn2 0.0865 0.4006 0.8768
Mn3 0.0994 0.0865 0.6232
Mn4 0.1046 0.0826 0.1263
Mn5 0.3954 0.4174 0.1263
Mn6 0.4006 0.4135 0.6232
Mn7 0.4135 0.0994 0.8768
Mn8 0.4174 0.1046 0.3737
Mn9 0.5826 0.8954 0.6263
Mn10 0.5865 0.9006 0.1232
Mn11 0.5994 0.5865 0.3768
Mn12 0.6046 0.5826 0.8737
Mn13 0.8954 0.9174 0.8737
Mn14 0.9006 0.9135 0.3768
Mn15 0.9135 0.5994 0.1232
Mn16 0.9174 0.6046 0.6263
O1 0.0459 0.5983 0.3730
O2 0.0486 0.6003 0.8757
O3 0.0830 0.2045 0.3727
O4 0.0907 0.2059 0.8773
O5 0.0983 0.9541 0.8730
O6 0.1003 0.9514 0.3757
O7 0.2045 0.4170 0.1273
O8 0.2059 0.4093 0.6227
O9 0.2941 0.0907 0.6227
O10 0.2955 0.0830 0.1273
O11 0.3997 0.5486 0.3757
O12 0.4017 0.5459 0.8730
O13 0.4093 0.2941 0.8773
O14 0.4170 0.2955 0.3727
O15 0.4514 0.8997 0.8757
O16 0.4541 0.9017 0.3730
O17 0.5459 0.0983 0.6270
O18 0.5486 0.1003 0.1243
O19 0.5830 0.7045 0.6273
O20 0.5907 0.7059 0.1227
O21 0.5983 0.4541 0.1270
O22 0.6003 0.4514 0.6243
O23 0.7045 0.9170 0.8727
O24 0.7059 0.9093 0.3773
O25 0.7941 0.5907 0.3773
O26 0.7955 0.5830 0.8727
O27 0.8997 0.0486 0.6243
O28 0.9017 0.0459 0.1270
O29 0.9093 0.7941 0.1227
O30 0.9170 0.7955 0.6273
O31 0.9514 0.3997 0.1243
O32 0.9541 0.4017 0.6270